[1]
Starting from the GGA-PBE geometry in Alexandria, the powder diffractogram of CaPr3B2N6 was simulated for copper Kα.
Peak positions follow from Bragg's law for the DFT cell and can differ from measured ones.

The 10 most intense peaks (2θ = 10–90°), by angle:
| d/Å | Rel. int. |
| --- | --- |
| 3.878 | 100 |
| 2.832 | 87 |
| 2.661 | 74 |
| 2.287 | 44 |
| 1.939 | 39 |
| 1.779 | 27 |
| 1.693 | 24 |
| 1.600 | 29 |
| 1.330 | 18 |
| 1.204 | 18 |

Crystal structure
```
CaPr3B2N6
1.0
5.6643 0.0000 0.0000
-2.8322 4.9054 0.0000
0.0000 0.0000 6.3346
Ca Pr B N
1 3 2 6
direct
0.0000 0.0000 0.0000
0.0000 0.0000 0.5000
0.3333 0.6667 0.1543
0.6667 0.3333 0.8457
0.3333 0.6667 0.7422
0.6667 0.3333 0.2578
0.1868 0.3735 0.7711
0.1868 0.8132 0.7711
0.3735 0.1868 0.2289
0.6265 0.8132 0.7711
0.8132 0.1868 0.2289
0.8132 0.6265 0.2289
```

---

[2]
Starting from the GGA-PBE geometry in Alexandria, the powder diffractogram of Al5GaAg3 was simulated for copper Kα.
Peak positions follow from Bragg's law for the DFT cell and can differ from measured ones.

The 10 most intense peaks (2θ = 10–90°), by angle:
| d/Å | Rel. int. |
| --- | --- |
| 4.627 | 23 |
| 4.174 | 100 |
| 3.099 | 23 |
| 2.954 | 28 |
| 2.639 | 26 |
| 2.365 | 55 |
| 2.231 | 38 |
| 2.087 | 36 |
| 1.967 | 24 |
| 1.845 | 20 |

Crystal structure
```
Al5GaAg3
1.0
6.2322 -4.1740 0.0000
6.2322 4.1740 0.0000
-6.0621 0.0000 7.0938
Al Ga Ag
10 2 6
direct
0.1066 0.1066 0.9073
0.1154 0.7170 0.6066
0.2041 0.7959 0.0000
0.2830 0.8846 0.3934
0.3343 0.3343 0.6250
0.6657 0.6657 0.3750
0.7170 0.1154 0.6066
0.7959 0.2041 0.0000
0.8846 0.2830 0.3934
0.8934 0.8934 0.0927
0.3776 0.3776 0.1410
0.6224 0.6224 0.8590
0.1490 0.1490 0.6751
0.2049 0.2049 0.2618
0.5000 0.5000 0.0000
0.5000 0.5000 0.5000
0.7951 0.7951 0.7382
0.8510 0.8510 0.3249
```

---

[3]
Starting from the GGA-PBE geometry in Alexandria, the powder diffractogram of BH3I was simulated for copper Kα.
Peak positions follow from Bragg's law for the DFT cell and can differ from measured ones.

The 10 most intense peaks (2θ = 10–90°), by angle:
| d/Å | Rel. int. |
| --- | --- |
| 4.849 | 39 |
| 4.527 | 61 |
| 4.124 | 87 |
| 2.997 | 100 |
| 2.499 | 87 |
| 2.424 | 22 |
| 2.407 | 31 |
| 1.806 | 34 |
| 1.615 | 35 |
| 1.422 | 23 |

Crystal structure
```
BH3I
1.0
2.9968 1.7302 4.5274
-2.9968 1.7302 4.5274
0.0000 -3.4604 4.5274
B H I
2 6 2
direct
0.1524 0.1524 0.1524
0.8476 0.8476 0.8476
0.0946 0.7531 0.7531
0.2469 0.2469 0.9054
0.2469 0.9054 0.2469
0.7531 0.0946 0.7531
0.7531 0.7531 0.0946
0.9054 0.2469 0.2469
0.3202 0.3202 0.3202
0.6798 0.6798 0.6798
```